This entry pairs a crystal structure of Li2Mn3SbO8 with its simulated powder diffraction line list. Radiation: Cu Kα X-rays. Structure: a crystal structure in Alexandria, relaxed with PBE+U.
Kinematic intensities with the Lorentz-polarization factor, no thermal factor.

Crystal structure
```
Li2Mn3SbO8
1.0
6.0569 0.0000 0.0000
2.9556 5.3736 0.0000
2.6985 1.9864 9.9222
Li Mn Sb O
4 6 2 16
Direct
0.0413 0.0830 0.3163
0.4455 0.4180 0.1856
0.5545 0.5820 0.8144
0.9587 0.9170 0.6837
0.0000 0.0000 0.0000
0.0000 0.5000 0.5000
0.2522 0.2460 0.7520
0.5000 0.0000 0.0000
0.5000 0.5000 0.5000
0.7478 0.7540 0.2480
0.0000 0.5000 0.0000
0.5000 0.0000 0.5000
0.1034 0.1414 0.1102
0.1167 0.6097 0.1185
0.1674 0.5649 0.6159
0.1739 0.1075 0.6307
0.3398 0.3548 0.3902
0.3444 0.9257 0.8868
0.3532 0.3564 0.8839
0.3744 0.8565 0.3988
0.6256 0.1435 0.6012
0.6468 0.6436 0.1161
0.6556 0.0743 0.1132
0.6602 0.6452 0.6098
0.8261 0.8925 0.3693
0.8326 0.4351 0.3841
0.8833 0.3903 0.8815
0.8966 0.8586 0.8898
```

The 10 most intense peaks (2θ from 15° to 90°), low angle first:
17.86 deg, d 4.967, I 100, (0 0 2)
17.96 deg, d 4.939, I 50, (1 0 1)
33.58 deg, d 2.669, I 11, (-1 1 2)
34.01 deg, d 2.636, I 20, (0 2 0)
34.39 deg, d 2.608, I 17, (1 2 3)
34.83 deg, d 2.576, I 9, (2 2 2)
36.17 deg, d 2.484, I 13, (2 2 0)
41.07 deg, d 2.198, I 25, (2 0 -2)
41.86 deg, d 2.158, I 24, (0 2 -2)
42.50 deg, d 2.127, I 23, (2 2 4)